Calculated PXRD pattern
Compound: Sr3CaMn2O8
Radiation: CuKα
Structure: a structure optimized by DFT (GGA+U)
Neutral-atom scattering factors, no anomalous dispersion.

Atomic structure:
Cell: 3.8383 3.8383 12.4072 Å, 90.00 90.00 90.00°
Space group P4mm (No. 99)
Inequivalent atoms, fractional coordinates:
Sr  0.0000  0.0000  0.0000
Sr  0.0000  0.0000  0.2913
Sr  0.5000  0.5000  0.5061
Ca  0.5000  0.5000  0.7909
Mn  0.0000  0.0000  0.6527
Mn  0.5000  0.5000  0.1444
O  0.0000  0.0000  0.4938
O  0.0000  0.0000  0.8071
O  0.0000  0.5000  0.1455
O  0.0000  0.5000  0.6558
O  0.5000  0.5000  0.3037
O  0.5000  0.5000  0.9841

Main lines, sorted by position (15 to 90 degrees two-theta):
2θ/deg	I_rel	h k l
31.81	100	1 0 3
33.00	75	1 1 0
43.42	14	1 0 5
43.78	18	0 0 6
44.35	26	1 1 4
47.37	44	2 0 0
55.90	17	1 1 6
58.19	36	2 1 3
66.47	18	2 0 6
69.23	13	2 2 0